For Rb2PdCl4, a cell relaxed with PBE gives the calculated powder X-ray diffraction pattern in this record (Cu Kα (weighted mean of Kα1 and Kα2)).
Lines closer than 0.1° are merged.

Peak list (8 most intense, 2θ from 5° to 70°, sorted by position)
2θ 15.88, rel. 100
2θ 25.71, rel. 95
2θ 26.80, rel. 77
2θ 32.08, rel. 51
2θ 35.03, rel. 40
2θ 38.26, rel. 66
2θ 46.67, rel. 39
2θ 52.84, rel. 46

Structural model:
abc: 6.654 6.654 10.246
angles: 90.00 90.00 90.00
Fractional positions:
Rb (0.000, 0.500, 0.250)
Rb (0.000, 0.500, 0.750)
Rb (0.500, 0.000, 0.250)
Rb (0.500, 0.000, 0.750)
Pd (0.000, 0.000, 0.000)
Pd (0.500, 0.500, 0.500)
Cl (0.000, 0.000, 0.227)
Cl (0.000, 0.000, 0.773)
Cl (0.247, 0.247, 0.000)
Cl (0.253, 0.747, 0.500)
Cl (0.500, 0.500, 0.273)
Cl (0.500, 0.500, 0.727)
Cl (0.747, 0.253, 0.500)
Cl (0.753, 0.753, 0.000)